Theoretical PXRD pattern of Sr12Ca6Ac for Cu Kα, 1.54184 Å, from a GGA-PBE-relaxed structure.

Main lines, by intensity (5° ≤ 2θ ≤ 70°):
2θ/deg	intensity
27.02	100
28.19	89
28.45	85
26.47	84
26.84	78
20.04	59
29.78	37
45.91	31
33.89	27
8.87	27

Structural model:
```
data_Sr12Ca6Ac
_space_group_name_H-M_alt 'P 1'
_space_group_IT_number 1
_space_group_name_Hall 'P 1'
_cell_length_a 9.9674
_cell_length_b 9.9674
_cell_length_c 9.9674
_cell_angle_alpha 89.13
_cell_angle_beta 89.13
_cell_angle_gamma 89.13
loop_
_atom_site_label
_atom_site_fract_x
_atom_site_fract_y
_atom_site_fract_z
Sr1 0.0258 0.3035 0.9321
Sr2 0.0679 0.9742 0.6965
Sr3 0.1281 0.3485 0.4673
Sr4 0.3035 0.9321 0.0258
Sr5 0.3485 0.4673 0.1281
Sr6 0.4673 0.1281 0.3485
Sr7 0.5327 0.8719 0.6515
Sr8 0.6515 0.5327 0.8719
Sr9 0.6965 0.0679 0.9742
Sr10 0.8719 0.6515 0.5327
Sr11 0.9321 0.0258 0.3035
Sr12 0.9742 0.6965 0.0679
Ca1 0.2376 0.6092 0.7614
Ca2 0.2386 0.7624 0.3908
Ca3 0.3908 0.2386 0.7624
Ca4 0.6092 0.7614 0.2376
Ca5 0.7614 0.2376 0.6092
Ca6 0.7624 0.3908 0.2386
Ac1 0.5000 0.5000 0.5000
```